The following is a theoretical XRD peak list of LiV3OF11. It was derived from a PBE+U-relaxed structure, using Cu Kα.

Atomic structure:
abc: 5.474 6.221 7.370
angles: 86.28 76.21 89.03
Atoms (fractional coordinates):
Li1 0.000 0.000 0.000
V1 0.129 0.644 0.339
V2 0.325 0.386 0.654
V3 0.698 0.516 0.017
O1 0.390 0.530 0.173
F1 0.063 0.514 0.833
F2 0.097 0.353 0.497
F3 0.156 0.906 0.196
F4 0.238 0.129 0.795
F5 0.360 0.670 0.515
F6 0.555 0.471 0.806
F7 0.578 0.274 0.496
F8 0.742 0.803 0.958
F9 0.757 0.230 0.044
F10 0.870 0.551 0.215
F11 0.890 0.745 0.522

Top 10 peaks for 2θ from 15° to 90°, sorted by position:
| hkl | Position (°2θ) | d [Å] | I_rel |
| --- | --- | --- | --- |
| 0 1 1 | 18.3 | 4.843 | 64 |
| 1 -1 0 | 22.0 | 4.038 | 29 |
| 1 1 1 | 22.8 | 3.908 | 91 |
| 1 0 -1 | 23.1 | 3.849 | 100 |
| 1 0 2 | 26.5 | 3.357 | 73 |
| -1 1 1 | 26.9 | 3.320 | 60 |
| 0 2 -1 | 32.2 | 2.784 | 39 |
| 2 1 3 | 46.3 | 1.961 | 44 |
| 0 3 -1 | 46.4 | 1.955 | 40 |
| -2 1 2 | 49.1 | 1.855 | 32 |